Entry 1:
For Tb2DyEr5Mg, the PBE geometry in Alexandria gives the simulated powder XRD pattern in this record (λ = 1.5418 Å (Cu Kα)).
Kinematic intensities with the Lorentz-polarization factor, no thermal factor.

Principal peaks in the range 2θ from 10° to 90°, in order of falling intensity:
two_theta  Rel. int.
32.85  100.0
31.11  38.2
33.38  32.3
59.31  21.5
28.14  17.6
34.62  15.6
48.85  12.3
63.17  11.4
60.06  10.9
51.96  10.5

Structural model:
Lattice parameters (Å, degrees): 10.3467 10.3467 10.3643 90.00 90.00 149.92
Positions (direct):
Tb  0.1150  0.8850  0.5000
Tb  0.1150  0.8850  0.9248
Tb  0.8850  0.1150  0.0000
Tb  0.8850  0.1150  0.4248
Dy  0.2062  0.7938  0.2123
Dy  0.7938  0.2062  0.7123
Er  0.0133  0.9867  0.2124
Er  0.2892  0.7108  0.5121
Er  0.2895  0.7105  0.9123
Er  0.3830  0.6170  0.2124
Er  0.5003  0.4997  0.4620
Er  0.4997  0.5003  0.9620
Er  0.6170  0.3830  0.7124
Er  0.7105  0.2895  0.4123
Er  0.7108  0.2892  0.0121
Er  0.9867  0.0133  0.7124
Mg  0.4048  0.5952  0.7112
Mg  0.5952  0.4048  0.2112

Entry 2:
For Pu2MgRu3, the PBE geometry in Alexandria gives the simulated powder XRD pattern in this record (λ = 1.5418 Å (Cu Kα)).
Kinematic intensities with the Lorentz-polarization factor, no thermal factor.

Principal peaks in the range 2θ from 10° to 90°, in order of falling intensity:
two_theta  Rel. int.
38.26  100.0
39.32  23.4
39.78  21.7
20.45  19.2
70.58  16.7
57.17  15.1
13.02  14.9
71.20  14.9
33.21  11.5
81.90  10.9

Structural model:
Lattice parameters (Å, degrees): 4.5829 13.5966 3.4424 90.00 90.00 90.00
Positions (direct):
Pu  0.2500  0.0906  0.0009
Pu  0.2500  0.4094  0.0009
Pu  0.7500  0.5906  0.9991
Pu  0.7500  0.9094  0.9991
Mg  0.2500  0.7500  0.9980
Mg  0.7500  0.2500  0.0020
Ru  0.2500  0.2500  0.5017
Ru  0.2500  0.5820  0.4989
Ru  0.2500  0.9180  0.4989
Ru  0.7500  0.0820  0.5011
Ru  0.7500  0.4180  0.5011
Ru  0.7500  0.7500  0.4983

Entry 3:
For Nb7Re, the PBE geometry in Alexandria gives the simulated powder XRD pattern in this record (λ = 1.5418 Å (Cu Kα)).
Kinematic intensities with the Lorentz-polarization factor, no thermal factor.

Principal peaks in the range 2θ from 10° to 90°, in order of falling intensity:
two_theta  Rel. int.
38.78  100.0
38.91  49.6
70.38  33.4
70.12  16.8
56.20  16.7
83.21  10.5
55.81  8.5
83.54  5.3
20.33  5.0
13.44  4.4

Structural model:
Lattice parameters (Å, degrees): 4.6291 4.6291 13.1786 90.00 90.00 90.00
Positions (direct):
Nb  0.0000  0.0000  0.0000
Nb  0.0000  0.0000  0.2492
Nb  0.0000  0.0000  0.7508
Nb  0.0000  0.5000  0.1221
Nb  0.0000  0.5000  0.3779
Nb  0.0000  0.5000  0.6221
Nb  0.0000  0.5000  0.8779
Nb  0.5000  0.0000  0.1221
Nb  0.5000  0.0000  0.3779
Nb  0.5000  0.0000  0.6221
Nb  0.5000  0.0000  0.8779
Nb  0.5000  0.5000  0.2508
Nb  0.5000  0.5000  0.5000
Nb  0.5000  0.5000  0.7492
Re  0.0000  0.0000  0.5000
Re  0.5000  0.5000  0.0000

Entry 4:
For PrSnI2, the PBE geometry in Alexandria gives the simulated powder XRD pattern in this record (λ = 1.5418 Å (Cu Kα)).
Kinematic intensities with the Lorentz-polarization factor, no thermal factor.

Principal peaks in the range 2θ from 10° to 90°, in order of falling intensity:
two_theta  Rel. int.
26.61  100.0
37.74  87.3
45.96  50.2
29.37  48.0
33.95  45.6
32.31  29.9
26.19  29.5
57.30  28.5
60.93  21.5
79.57  20.3

Structural model:
Lattice parameters (Å, degrees): 3.9491 3.9491 33.2386 90.00 90.00 120.00
Positions (direct):
Pr  0.0000  0.0000  0.0000
Pr  0.3333  0.6667  0.6667
Pr  0.6667  0.3333  0.3333
Sn  0.0000  0.0000  0.5000
Sn  0.3333  0.6667  0.1667
Sn  0.6667  0.3333  0.8333
I  0.0000  0.0000  0.4017
I  0.0000  0.0000  0.5983
I  0.3333  0.6667  0.0684
I  0.3333  0.6667  0.2650
I  0.6667  0.3333  0.7350
I  0.6667  0.3333  0.9316

Entry 5:
For Pm3Sn2Au8, the PBE geometry in Alexandria gives the simulated powder XRD pattern in this record (λ = 1.5418 Å (Cu Kα)).
Kinematic intensities with the Lorentz-polarization factor, no thermal factor.

Principal peaks in the range 2θ from 10° to 90°, in order of falling intensity:
two_theta  Rel. int.
37.76  100.0
34.68  84.1
38.92  53.1
67.40  42.4
59.04  36.7
40.41  35.1
15.76  30.0
36.06  29.4
39.77  28.7
32.22  27.8

Structural model:
Lattice parameters (Å, degrees): 11.6941 11.6941 11.6941 27.49 27.49 27.49
Positions (direct):
Pm  0.0000  0.0000  0.0000
Pm  0.1900  0.1900  0.1900
Pm  0.8100  0.8100  0.8100
Sn  0.3663  0.3663  0.3663
Sn  0.6337  0.6337  0.6337
Au  0.2264  0.7305  0.7305
Au  0.2695  0.2695  0.7736
Au  0.2695  0.7736  0.2695
Au  0.2839  0.2839  0.2839
Au  0.7161  0.7161  0.7161
Au  0.7305  0.2264  0.7305
Au  0.7305  0.7305  0.2264
Au  0.7736  0.2695  0.2695

Entry 6:
For Sc6Pd5, the PBE geometry in Alexandria gives the simulated powder XRD pattern in this record (λ = 1.5418 Å (Cu Kα)).
Kinematic intensities with the Lorentz-polarization factor, no thermal factor.

Principal peaks in the range 2θ from 10° to 90°, in order of falling intensity:
two_theta  Rel. int.
38.60  100.0
38.82  98.6
38.92  97.9
70.57  31.3
69.85  16.9
12.66  16.5
55.57  16.4
69.98  16.3
55.88  16.1
70.06  16.0

Structural model:
Lattice parameters (Å, degrees): 4.6710 6.5086 7.3584 90.00 108.21 90.00
Positions (direct):
Sc  0.0000  0.2448  0.0000
Sc  0.0000  0.7552  0.0000
Sc  0.3377  0.2464  0.6749
Sc  0.3377  0.7536  0.6749
Sc  0.6623  0.2464  0.3251
Sc  0.6623  0.7536  0.3251
Pd  0.1695  0.0000  0.3391
Pd  0.1710  0.5000  0.3424
Pd  0.5000  0.5000  0.0000
Pd  0.8290  0.5000  0.6576
Pd  0.8305  0.0000  0.6609

Entry 7:
For K2Rb2RhO4, the PBE geometry in Alexandria gives the simulated powder XRD pattern in this record (λ = 1.5418 Å (Cu Kα)).
Kinematic intensities with the Lorentz-polarization factor, no thermal factor.

Principal peaks in the range 2θ from 10° to 90°, in order of falling intensity:
two_theta  Rel. int.
33.80  100.0
19.58  91.0
27.82  87.2
44.32  76.2
39.75  62.6
61.04  38.7
28.37  23.8
68.37  23.7
81.34  21.1
82.10  20.9

Structural model:
Lattice parameters (Å, degrees): 6.2971 6.2971 6.2971 118.78 118.78 92.13
Positions (direct):
K  0.2500  0.7500  0.5000
K  0.7500  0.2500  0.5000
Rb  0.1626  0.1626  0.0000
Rb  0.8374  0.8374  0.0000
Rh  0.5000  0.5000  0.0000
O  0.2844  0.2844  0.5687
O  0.2844  0.7156  0.0000
O  0.7156  0.2844  0.0000
O  0.7156  0.7156  0.4313

Entry 8:
For Pm4Y5, the PBE geometry in Alexandria gives the simulated powder XRD pattern in this record (λ = 1.5418 Å (Cu Kα)).
Kinematic intensities with the Lorentz-polarization factor, no thermal factor.

Principal peaks in the range 2θ from 10° to 90°, in order of falling intensity:
two_theta  Rel. int.
30.37  100.0
35.21  50.3
50.64  35.4
60.16  27.9
60.27  13.9
63.17  12.0
82.41  8.5
82.52  8.4
85.02  7.9
85.14  5.2

Structural model:
Lattice parameters (Å, degrees): 8.0633 8.0633 5.0909 108.35 108.35 84.29
Positions (direct):
Pm  0.9999  0.3335  0.1665
Pm  0.0001  0.6665  0.8335
Pm  0.3335  0.9999  0.1665
Pm  0.6665  0.0001  0.8335
Y  0.0000  0.0000  0.5000
Y  0.3333  0.3333  0.8334
Y  0.3334  0.6666  0.5000
Y  0.6666  0.3334  0.5000
Y  0.6667  0.6667  0.1666